No. 1
Calculated X-ray powder pattern
Compound: SrBi2B4O10
Radiation: Cu Kα (λ = 1.5418 Å)
Structure: a cell relaxed with PBE
Lines closer than 0.1° are merged.

Structure:
```
SrBi2B4O10
1.0
6.856 0.000 0.000
-1.418 6.892 0.000
-3.213 -1.720 9.208
Sr Bi B O
2 4 8 20
Direct
0.034 0.350 0.166 Sr
0.966 0.650 0.834 Sr
0.268 0.858 0.336 Bi
0.304 0.483 0.601 Bi
0.696 0.517 0.399 Bi
0.732 0.142 0.664 Bi
0.152 0.890 0.632 B
0.199 0.197 0.823 B
0.399 0.705 0.075 B
0.411 0.247 0.093 B
0.589 0.753 0.907 B
0.601 0.295 0.925 B
0.801 0.803 0.177 B
0.848 0.110 0.368 B
0.062 0.317 0.749 O
0.075 0.685 0.605 O
0.111 0.985 0.749 O
0.211 0.666 0.095 O
0.218 0.204 0.980 O
0.258 0.988 0.554 O
0.359 0.603 0.413 O
0.398 0.726 0.935 O
0.411 0.275 0.815 O
0.418 0.272 0.233 O
0.582 0.728 0.767 O
0.589 0.725 0.185 O
0.602 0.274 0.065 O
0.641 0.397 0.587 O
0.742 0.012 0.446 O
0.782 0.796 0.020 O
0.789 0.334 0.905 O
0.889 0.015 0.251 O
0.925 0.315 0.395 O
0.938 0.683 0.251 O
```

The 10 most intense peaks (2θ from 5° to 70°), by angle:
d [Å]  2theta  I/Imax
9.208  9.60  100
3.785  23.50  46
3.519  25.31  26
3.387  26.31  50
3.354  26.57  90
3.282  27.17  39
3.242  27.51  56
3.141  28.42  44
3.007  29.71  45
1.885  48.28  25

---

No. 2
Calculated X-ray powder pattern
Compound: Eu2InPd2
Radiation: Cu Kα (λ = 1.5418 Å)
Structure: a cell relaxed with PBE
Lines closer than 0.1° are merged.

Structure:
```
Eu2InPd2
1.0
5.187 -2.964 0.000
5.187 2.964 0.000
-2.086 0.000 8.104
Eu In Pd
4 2 4
Direct
0.006 0.290 0.148 Eu
0.290 0.006 0.648 Eu
0.710 0.994 0.352 Eu
0.994 0.710 0.852 Eu
0.354 0.646 0.250 In
0.646 0.354 0.750 In
0.228 0.502 0.497 Pd
0.498 0.772 0.003 Pd
0.502 0.228 0.997 Pd
0.772 0.498 0.503 Pd
```

The 10 most intense peaks (2θ from 5° to 70°), by angle:
d [Å]  2theta  I/Imax
2.994  29.84  20
2.956  30.23  30
2.828  31.64  37
2.783  32.16  54
2.655  33.75  33
2.571  34.89  33
2.525  35.55  100
2.422  37.12  25
2.351  38.29  48
1.492  62.22  32

---

No. 3
Calculated X-ray powder pattern
Compound: Mg6NbSi
Radiation: Cu Kα (λ = 1.5418 Å)
Structure: a cell relaxed with PBE
Lines closer than 0.1° are merged.

Structure:
```
Mg6NbSi
1.0
5.069 0.000 0.000
0.000 5.747 0.000
0.000 0.000 10.892
Mg Nb Si
12 2 2
Direct
0.000 0.000 0.000 Mg
0.000 0.000 0.497 Mg
0.000 0.244 0.756 Mg
0.000 0.256 0.256 Mg
0.000 0.500 0.500 Mg
0.000 0.500 0.997 Mg
0.000 0.744 0.256 Mg
0.000 0.756 0.756 Mg
0.500 0.249 0.098 Mg
0.500 0.251 0.598 Mg
0.500 0.749 0.598 Mg
0.500 0.751 0.098 Mg
0.500 0.000 0.850 Nb
0.500 0.500 0.350 Nb
0.500 0.000 0.344 Si
0.500 0.500 0.844 Si
```

The 10 most intense peaks (2θ from 5° to 70°), by angle:
d [Å]  2theta  I/Imax
5.446  16.28  25
5.078  17.46  50
3.589  24.80  26
2.538  35.37  80
2.399  37.49  69
2.272  39.68  100
1.795  50.88  23
1.535  60.30  17
1.436  64.93  20
1.407  66.43  21

---

No. 4
Calculated X-ray powder pattern
Compound: Zn3Sn2Pt2
Radiation: Cu Kα (λ = 1.5418 Å)
Structure: a cell relaxed with PBE
Lines closer than 0.1° are merged.

Structure:
```
Zn3Sn2Pt2
1.0
4.417 0.000 0.000
-2.208 3.825 0.000
0.000 0.000 15.586
Zn Sn Pt
6 4 4
Direct
0.000 0.000 0.169 Zn
0.000 0.000 0.331 Zn
0.000 0.000 0.669 Zn
0.000 0.000 0.831 Zn
0.333 0.667 0.250 Zn
0.667 0.333 0.750 Zn
0.333 0.667 0.571 Sn
0.333 0.667 0.929 Sn
0.667 0.333 0.071 Sn
0.667 0.333 0.429 Sn
0.000 0.000 0.000 Pt
0.000 0.000 0.500 Pt
0.333 0.667 0.750 Pt
0.667 0.333 0.250 Pt
```

The 10 most intense peaks (2θ from 5° to 70°), by angle:
d [Å]  2theta  I/Imax
3.897  22.82  24
3.715  23.95  43
3.434  25.95  27
3.080  28.99  7
2.416  37.21  26
2.208  40.86  100
2.149  42.05  86
1.922  47.31  23
1.630  56.45  8
1.540  60.07  30

---

No. 5
Calculated X-ray powder pattern
Compound: Br
Radiation: Cu Kα (λ = 1.5418 Å)
Structure: a cell relaxed with PBE
Lines closer than 0.1° are merged.

Structure:
```
Br
1.0
4.594 0.000 0.000
0.000 4.594 0.000
0.000 0.000 4.594
Br
3
Direct
0.000 0.000 0.500 Br
0.000 0.500 0.000 Br
0.500 0.000 0.000 Br
```

The 10 most intense peaks (2θ from 5° to 70°), by angle:
d [Å]  2theta  I/Imax
4.594  19.32  35
3.249  27.46  29
2.652  33.79  100
2.297  39.22  49
2.055  44.08  16
1.876  48.54  12
1.624  56.67  33
1.531  60.45  7
1.453  64.10  5
1.385  67.63  38

---

No. 6
Calculated X-ray powder pattern
Compound: CsLu2Cl7
Radiation: Cu Kα (λ = 1.5418 Å)
Structure: a cell relaxed with PBE
Lines closer than 0.1° are merged.

Structure:
```
CsLu2Cl7
1.0
13.502 0.000 0.000
0.000 6.963 0.000
0.000 0.000 12.599
Cs Lu Cl
4 8 28
Direct
0.043 0.250 0.196 Cs
0.457 0.750 0.696 Cs
0.543 0.250 0.304 Cs
0.957 0.750 0.804 Cs
0.238 0.250 0.541 Lu
0.249 0.750 0.342 Lu
0.251 0.250 0.842 Lu
0.262 0.750 0.041 Lu
0.738 0.250 0.959 Lu
0.749 0.750 0.158 Lu
0.751 0.250 0.658 Lu
0.762 0.750 0.459 Lu
0.110 0.750 0.188 Cl
0.125 0.007 0.425 Cl
0.125 0.493 0.425 Cl
0.137 0.010 0.960 Cl
0.137 0.490 0.960 Cl
0.177 0.014 0.693 Cl
0.177 0.486 0.693 Cl
0.323 0.514 0.193 Cl
0.323 0.986 0.193 Cl
0.363 0.510 0.460 Cl
0.363 0.990 0.460 Cl
0.375 0.507 0.925 Cl
0.375 0.993 0.925 Cl
0.390 0.250 0.688 Cl
0.610 0.750 0.312 Cl
0.625 0.007 0.075 Cl
0.625 0.493 0.075 Cl
0.637 0.010 0.540 Cl
0.637 0.490 0.540 Cl
0.677 0.014 0.807 Cl
0.677 0.486 0.807 Cl
0.823 0.514 0.307 Cl
0.823 0.986 0.307 Cl
0.863 0.510 0.040 Cl
0.863 0.990 0.040 Cl
0.875 0.507 0.575 Cl
0.875 0.993 0.575 Cl
0.890 0.250 0.812 Cl
```

The 10 most intense peaks (2θ from 5° to 70°), by angle:
d [Å]  2theta  I/Imax
6.751  13.11  58
4.524  19.62  100
3.476  25.63  67
2.809  31.86  24
2.581  34.76  30
2.423  37.10  36
2.302  39.14  29
2.160  41.82  42
2.074  43.65  21
2.008  45.14  16